# 1
This entry pairs a crystal structure of Sm4Lu11S22 with its simulated powder diffraction line list. Radiation: Cu Kα, 1.54184 Å. Structure: a DFT-relaxed cell (PBE, Alexandria).
No peak broadening, texture or thermal motion is included.

Crystal structure
Lattice parameters (Å, degrees): 38.609 3.880 11.199 90.00 91.41 90.00
Space group C2/m (No. 12)
Asymmetric unit:
1 Sm 0.105 0.000 0.013 [4 per cell]
2 Sm 0.132 0.500 0.651 [4 per cell]
3 Lu 0.000 0.000 0.000 [2 per cell]
4 Lu 0.039 0.500 0.731 [4 per cell]
5 Lu 0.070 0.000 0.360 [4 per cell]
6 Lu 0.158 0.500 0.302 [4 per cell]
7 Lu 0.202 0.000 0.942 [4 per cell]
8 Lu 0.235 0.500 0.647 [4 per cell]
9 S 0.008 0.000 0.241 [4 per cell]
10 S 0.047 0.500 0.971 [4 per cell]
11 S 0.057 0.500 0.508 [4 per cell]
12 S 0.088 0.000 0.756 [4 per cell]
13 S 0.093 0.500 0.212 [4 per cell]
14 S 0.135 0.000 0.453 [4 per cell]
15 S 0.149 0.500 0.907 [4 per cell]
16 S 0.169 0.000 0.151 [4 per cell]
17 S 0.188 0.000 0.691 [4 per cell]
18 S 0.220 0.500 0.408 [4 per cell]
19 S 0.245 0.500 0.880 [4 per cell]

Principal peaks in the range 10° ≤ 2θ ≤ 80°, low angle first:
23.84°, intensity 78; 24.58°, intensity 100; 25.33°, intensity 39; 26.84°, intensity 59; 27.75°, intensity 50; 28.11°, intensity 64; 31.99°, intensity 61; 34.46°, intensity 56; 42.72°, intensity 53; 46.83°, intensity 52

=====

# 2
This entry pairs a crystal structure of Lu7Sb3 with its simulated powder diffraction line list. Radiation: Cu Kα, 1.54184 Å. Structure: a DFT-relaxed cell (PBE, Alexandria).
No peak broadening, texture or thermal motion is included.

Crystal structure
Lattice parameters (Å, degrees): 15.756 15.756 8.826 90.00 90.00 90.00
Space group I4/mcm (No. 140)
Asymmetric unit:
1 Lu 0.000 0.000 0.250 [4 per cell]
2 Lu 0.000 0.500 0.250 [4 per cell]
3 Lu 0.018 0.336 0.000 [16 per cell]
4 Lu 0.117 0.123 0.500 [16 per cell]
5 Lu 0.164 0.336 0.305 [16 per cell]
6 Sb 0.000 0.197 0.250 [16 per cell]
7 Sb 0.221 0.279 0.000 [8 per cell]

Principal peaks in the range 10° ≤ 2θ ≤ 80°, low angle first:
30.42°, intensity 18; 31.49°, intensity 100; 32.17°, intensity 28; 32.52°, intensity 45; 32.99°, intensity 21; 33.15°, intensity 24; 34.14°, intensity 38; 35.46°, intensity 39; 40.90°, intensity 25; 56.23°, intensity 17

=====

# 3
This entry pairs a crystal structure of LuSb3 with its simulated powder diffraction line list. Radiation: Cu Kα, 1.54184 Å. Structure: a DFT-relaxed cell (PBE, Alexandria).
No peak broadening, texture or thermal motion is included.

Crystal structure
Lattice parameters (Å, degrees): 3.822 9.665 6.007 90.00 90.00 90.00
Space group Imm2 (No. 44)
Asymmetric unit:
1 Lu 0.000 0.000 0.000 [2 per cell]
2 Sb 0.000 0.289 0.252 [4 per cell]
3 Sb 0.000 0.500 0.916 [2 per cell]

Principal peaks in the range 10° ≤ 2θ ≤ 80°, low angle first:
27.66°, intensity 58; 31.51°, intensity 21; 33.41°, intensity 100; 35.18°, intensity 59; 37.21°, intensity 22; 39.27°, intensity 17; 46.99°, intensity 20; 47.58°, intensity 17; 51.53°, intensity 15; 60.54°, intensity 24

=====

# 4
This entry pairs a crystal structure of LuSc with its simulated powder diffraction line list. Radiation: Cu Kα, 1.54184 Å. Structure: a DFT-relaxed cell (PBE, Alexandria).
No peak broadening, texture or thermal motion is included.

Crystal structure
Lattice parameters (Å, degrees): 3.426 5.323 5.908 90.00 90.00 90.00
Space group Pmmn (No. 59, origin choice 2)
Asymmetric unit:
1 Lu 0.250 0.250 0.087 [2 per cell]
2 Sc 0.250 0.750 0.418 [2 per cell]

Principal peaks in the range 10° ≤ 2θ ≤ 80°, low angle first:
15.00°, intensity 40; 30.15°, intensity 17; 31.04°, intensity 20; 33.67°, intensity 24; 34.67°, intensity 100; 45.84°, intensity 15; 53.50°, intensity 14; 53.69°, intensity 13; 60.86°, intensity 19; 64.88°, intensity 14

=====

# 5
This entry pairs a crystal structure of LuSc6 with its simulated powder diffraction line list. Radiation: Cu Kα, 1.54184 Å. Structure: a DFT-relaxed cell (PBE, Alexandria).
No peak broadening, texture or thermal motion is included.

Crystal structure
Lattice parameters (Å, degrees): 7.242 7.242 7.242 90.00 90.00 90.00
Space group Im-3m (No. 229)
Asymmetric unit:
1 Lu 0.000 0.000 0.000 [2 per cell]
2 Sc 0.000 0.250 0.500 [12 per cell]

Principal peaks in the range 10° ≤ 2θ ≤ 80°, low angle first:
17.32°, intensity 17; 24.58°, intensity 43; 30.23°, intensity 100; 46.94°, intensity 58; 50.40°, intensity 16; 56.86°, intensity 16; 59.91°, intensity 14; 71.33°, intensity 16; 74.05°, intensity 10; 79.39°, intensity 7

=====

# 6
This entry pairs a crystal structure of LuScTi4 with its simulated powder diffraction line list. Radiation: Cu Kα, 1.54184 Å. Structure: a DFT-relaxed cell (PBE, Alexandria).
No peak broadening, texture or thermal motion is included.

Crystal structure
Lattice parameters (Å, degrees): 8.005 8.005 8.005 90.00 90.00 90.00
Space group F-43m (No. 216)
Asymmetric unit:
1 Lu 0.000 0.000 0.000 [4 per cell]
2 Sc 0.250 0.250 0.250 [4 per cell]
3 Ti 0.124 0.124 0.624 [16 per cell]

Principal peaks in the range 10° ≤ 2θ ≤ 80°, low angle first:
19.20°, intensity 27; 22.21°, intensity 22; 31.61°, intensity 53; 37.25°, intensity 100; 38.97°, intensity 22; 51.02°, intensity 10; 56.30°, intensity 20; 60.05°, intensity 32; 66.02°, intensity 20; 78.32°, intensity 11

=====

# 7
This entry pairs a crystal structure of TmLuScTi with its simulated powder diffraction line list. Radiation: Cu Kα, 1.54184 Å. Structure: a DFT-relaxed cell (PBE, Alexandria).
No peak broadening, texture or thermal motion is included.

Crystal structure
Lattice parameters (Å, degrees): 7.397 7.397 7.397 90.00 90.00 90.00
Space group F-43m (No. 216)
Asymmetric unit:
1 Tm 0.000 0.000 0.000 [4 per cell]
2 Lu 0.000 0.000 0.500 [4 per cell]
3 Sc 0.250 0.250 0.750 [4 per cell]
4 Ti 0.250 0.250 0.250 [4 per cell]

Principal peaks in the range 10° ≤ 2θ ≤ 80°, low angle first:
24.06°, intensity 40; 34.29°, intensity 100; 42.33°, intensity 13; 49.28°, intensity 18; 55.56°, intensity 18; 61.41°, intensity 36; 72.25°, intensity 11; 77.41°, intensity 9

=====

# 8
This entry pairs a crystal structure of Lu2Se3 with its simulated powder diffraction line list. Radiation: Cu Kα, 1.54184 Å. Structure: a DFT-relaxed cell (PBE, Alexandria).
No peak broadening, texture or thermal motion is included.

Crystal structure
Lattice parameters (Å, degrees): 8.071 11.310 24.029 90.00 90.00 90.00
Space group Fddd (No. 70, origin choice 2)
Asymmetric unit:
1 Lu 0.125 0.125 0.041 [16 per cell]
2 Lu 0.125 0.125 0.377 [16 per cell]
3 Se 0.118 0.372 0.206 [32 per cell]
4 Se 0.119 0.375 0.375 [16 per cell]

Principal peaks in the range 10° ≤ 2θ ≤ 80°, low angle first:
13.97°, intensity 49; 22.93°, intensity 16; 31.47°, intensity 100; 31.64°, intensity 50; 44.92°, intensity 19; 45.24°, intensity 91; 55.99°, intensity 21; 56.30°, intensity 19; 74.76°, intensity 17; 75.04°, intensity 16

=====

# 9
This entry pairs a crystal structure of YLuSe3 with its simulated powder diffraction line list. Radiation: Cu Kα, 1.54184 Å. Structure: a DFT-relaxed cell (PBE, Alexandria).
No peak broadening, texture or thermal motion is included.

Crystal structure
Lattice parameters (Å, degrees): 4.036 5.636 12.637 90.00 90.00 90.00
Space group Imm2 (No. 44)
Asymmetric unit:
1 Y 0.000 0.000 0.000 [2 per cell]
2 Lu 0.000 0.000 0.319 [2 per cell]
3 Se 0.000 0.500 0.340 [2 per cell]
4 Se 0.000 0.500 0.662 [2 per cell]
5 Se 0.000 0.500 0.972 [2 per cell]

Principal peaks in the range 10° ≤ 2θ ≤ 80°, low angle first:
14.02°, intensity 31; 17.23°, intensity 46; 30.68°, intensity 100; 31.75°, intensity 44; 39.61°, intensity 31; 42.95°, intensity 18; 44.73°, intensity 64; 44.91°, intensity 17; 54.38°, intensity 16; 56.05°, intensity 17

=====

# 10
This entry pairs a crystal structure of YLuSe3 with its simulated powder diffraction line list. Radiation: Cu Kα, 1.54184 Å. Structure: a DFT-relaxed cell (PBE, Alexandria).
No peak broadening, texture or thermal motion is included.

Crystal structure
Lattice parameters (Å, degrees): 7.1266 7.1266 19.3081 90.00 90.00 120.00
Space group R-3 (No. 148, hexagonal axes)
Asymmetric unit:
1 Y 0.0000 0.0000 0.1514 [6 per cell]
2 Lu 0.0000 0.0000 0.3460 [6 per cell]
3 Se 0.0060 0.3093 0.2511 [18 per cell]

Principal peaks in the range 10° ≤ 2θ ≤ 80°, low angle first:
17.05°, intensity 41; 23.40°, intensity 45; 24.99°, intensity 27; 28.64°, intensity 82; 34.50°, intensity 31; 37.66°, intensity 100; 43.07°, intensity 28; 44.02°, intensity 64; 59.29°, intensity 25; 76.71°, intensity 22